1.
For NbCo2Sn, a structure optimized by DFT (GGA-PBE) gives the calculated powder XRD pattern in this record (Cu Kα (weighted mean of Kα1 and Kα2)).

Largest 10 diffraction maxima, in order of rising 2θ, 10 to 80 degrees two-theta:
- 28.36 deg, d = 3.147 Å, I 11, (2 0 1)
- 40.23 deg, d = 2.242 Å, I 23, (0 0 2)
- 40.86 deg, d = 2.209 Å, I 28, (4 0 0)
- 41.87 deg, d = 2.157 Å, I 100, (2 2 1)
- 58.68 deg, d = 1.573 Å, I 15, (4 0 2)
- 62.70 deg, d = 1.482 Å, I 8, (0 4 0)
- 74.24 deg, d = 1.277 Å, I 11, (2 2 3)
- 75.09 deg, d = 1.265 Å, I 17, (6 2 1)
- 77.17 deg, d = 1.236 Å, I 7, (0 4 2)
- 77.59 deg, d = 1.231 Å, I 8, (4 4 0)

Crystal structure
Cell: 8.835 5.927 4.483 Å, 90.00 90.00 90.00°
Space group Pmma (No. 51)
One atom of each set of equivalent atoms:
Nb (0.000, 0.000, 0.000)
Nb (0.250, 0.500, 0.464)
Co (0.000, 0.251, 0.500)
Co (0.250, 0.248, 0.932)
Sn (0.000, 0.500, 0.000)
Sn (0.250, 0.000, 0.449)

=====

2.
For NbCo2Sn, a structure optimized by DFT (GGA-PBE) gives the calculated powder XRD pattern in this record (Cu Kα (weighted mean of Kα1 and Kα2)).

Largest 10 diffraction maxima, in order of rising 2θ, 10 to 80 degrees two-theta:
- 27.88 deg, d = 3.200 Å, I 11, (1 0 0)
- 30.17 deg, d = 2.962 Å, I 5, (0 0 2)
- 31.78 deg, d = 2.816 Å, I 4, (1 0 1)
- 39.84 deg, d = 2.263 Å, I 59, (1 1 0)
- 41.54 deg, d = 2.174 Å, I 100, (1 0 2)
- 50.77 deg, d = 1.798 Å, I 5, (1 1 2)
- 57.61 deg, d = 1.600 Å, I 19, (2 0 0)
- 62.73 deg, d = 1.481 Å, I 6, (0 0 4)
- 73.49 deg, d = 1.289 Å, I 36, (2 1 2)
- 76.94 deg, d = 1.239 Å, I 14, (1 1 4)

Crystal structure
Cell: 3.200 3.200 5.925 Å, 90.00 90.00 90.00°
Space group P4/mmm (No. 123)
One atom of each set of equivalent atoms:
Nb (0.000, 0.000, 0.000)
Co (0.500, 0.500, 0.222)
Sn (0.000, 0.000, 0.500)

=====

3.
For NbCo2Sn, a structure optimized by DFT (GGA-PBE) gives the calculated powder XRD pattern in this record (Cu Kα (weighted mean of Kα1 and Kα2)).

Largest 8 diffraction maxima, in order of rising 2θ, 10 to 80 degrees two-theta:
- 24.96 deg, d = 3.567 Å, I 1, (1 1 1)
- 28.90 deg, d = 3.089 Å, I 9, (2 0 0)
- 41.33 deg, d = 2.185 Å, I 100, (2 2 0)
- 48.89 deg, d = 1.863 Å, I 1, (3 1 1)
- 51.21 deg, d = 1.784 Å, I 3, (2 2 2)
- 59.88 deg, d = 1.545 Å, I 16, (4 0 0)
- 67.83 deg, d = 1.382 Å, I 4, (4 2 0)
- 75.36 deg, d = 1.261 Å, I 33, (4 2 2)

Crystal structure
Cell: 6.179 6.179 6.179 Å, 90.00 90.00 90.00°
Space group Fm-3m (No. 225)
One atom of each set of equivalent atoms:
Nb (0.000, 0.000, 0.000)
Co (0.250, 0.250, 0.250)
Sn (0.000, 0.000, 0.500)

=====

4.
For NbCoTe2, a structure optimized by DFT (GGA-PBE) gives the calculated powder XRD pattern in this record (Cu Kα (weighted mean of Kα1 and Kα2)).

Largest 10 diffraction maxima, in order of rising 2θ, 10 to 80 degrees two-theta:
- 11.70 deg, d = 7.563 Å, I 100, (1 0 0)
- 28.01 deg, d = 3.186 Å, I 24, (0 2 0)
- 29.08 deg, d = 3.071 Å, I 62, (0 1 2)
- 29.54 deg, d = 3.024 Å, I 60, (2 1 -2)
- 36.89 deg, d = 2.436 Å, I 71, (2 2 0)
- 38.54 deg, d = 2.336 Å, I 26, (2 2 -2)
- 43.19 deg, d = 2.095 Å, I 26, (4 0 -2)
- 44.62 deg, d = 2.031 Å, I 31, (2 1 2)
- 46.52 deg, d = 1.952 Å, I 23, (2 0 -4)
- 50.23 deg, d = 1.816 Å, I 24, (0 3 2)

Crystal structure
Cell: 8.428 6.372 7.812 Å, 90.00 116.19 90.00°
Space group P2_1/c (No. 14)
One atom of each set of equivalent atoms:
Nb (0.011, 0.014, 0.303)
Co (0.110, 0.645, 0.558)
Te (0.221, 0.243, 0.130)
Te (0.309, 0.749, 0.405)

=====

5.
For NbCoTe2, a structure optimized by DFT (GGA-PBE) gives the calculated powder XRD pattern in this record (Cu Kα (weighted mean of Kα1 and Kα2)).

Largest 10 diffraction maxima, in order of rising 2θ, 10 to 80 degrees two-theta:
- 11.53 deg, d = 7.674 Å, I 88, (0 2 0)
- 27.99 deg, d = 3.188 Å, I 18, (0 0 2)
- 29.27 deg, d = 3.051 Å, I 100, (2 2 1)
- 36.65 deg, d = 2.452 Å, I 58, (0 4 2)
- 37.86 deg, d = 2.376 Å, I 18, (3 1 1)
- 38.32 deg, d = 2.349 Å, I 30, (2 2 2)
- 42.26 deg, d = 2.138 Å, I 38, (2 6 0)
- 44.70 deg, d = 2.027 Å, I 30, (2 6 1)
- 46.61 deg, d = 1.949 Å, I 20, (4 0 0)
- 50.33 deg, d = 1.813 Å, I 33, (2 2 3)

Crystal structure
Cell: 7.795 15.347 6.375 Å, 90.00 90.00 90.00°
Space group Cmce (No. 64)
One atom of each set of equivalent atoms:
Nb (0.206, 0.000, 0.000)
Co (0.000, 0.056, 0.356)
Te (0.000, 0.108, 0.744)
Te (0.250, 0.153, 0.250)

=====

6.
For NbVCo, a structure optimized by DFT (GGA-PBE) gives the calculated powder XRD pattern in this record (Cu Kα (weighted mean of Kα1 and Kα2)).

Largest 10 diffraction maxima, in order of rising 2θ, 10 to 80 degrees two-theta:
- 36.32 deg, d = 2.474 Å, I 23, (0 2 0)
- 37.17 deg, d = 2.419 Å, I 50, (0 1 3)
- 39.51 deg, d = 2.281 Å, I 74, (3 1 1)
- 39.78 deg, d = 2.266 Å, I 42, (3 0 2)
- 42.83 deg, d = 2.111 Å, I 55, (2 2 0)
- 43.57 deg, d = 2.077 Å, I 100, (2 1 3)
- 44.03 deg, d = 2.057 Å, I 61, (1 2 2)
- 45.00 deg, d = 2.015 Å, I 25, (1 0 4)
- 70.37 deg, d = 1.338 Å, I 21, (2 3 3)
- 73.45 deg, d = 1.289 Å, I 26, (5 2 2)

Crystal structure
Cell: 8.107 4.947 8.319 Å, 90.00 90.00 90.00°
Space group Amm2 (No. 38)
One atom of each set of equivalent atoms:
Nb (0.184, 0.000, 0.000)
Nb (0.304, 0.000, 0.668)
V (0.000, 0.000, 0.494)
V (0.500, 0.000, 0.160)
V (0.500, 0.249, 0.917)
Co (0.000, 0.248, 0.739)
Co (0.242, 0.000, 0.330)

=====

7.
For ZrNbCo4, a structure optimized by DFT (GGA-PBE) gives the calculated powder XRD pattern in this record (Cu Kα (weighted mean of Kα1 and Kα2)).

Largest 7 diffraction maxima, in order of rising 2θ, 10 to 80 degrees two-theta:
- 37.30 deg, d = 2.411 Å, I 44, (2 2 0)
- 44.05 deg, d = 2.056 Å, I 100, (3 1 1)
- 46.11 deg, d = 1.968 Å, I 27, (2 2 2)
- 53.77 deg, d = 1.705 Å, I 1, (4 0 0)
- 67.27 deg, d = 1.392 Å, I 15, (4 2 2)
- 71.96 deg, d = 1.312 Å, I 28, (5 1 1)
- 79.52 deg, d = 1.205 Å, I 23, (4 4 0)

Crystal structure
Cell: 6.819 6.819 6.819 Å, 90.00 90.00 90.00°
Space group F-43m (No. 216)
One atom of each set of equivalent atoms:
Zr (0.000, 0.000, 0.000)
Nb (0.250, 0.250, 0.750)
Co (0.125, 0.125, 0.375)

=====

8.
For Nd2Co17, a structure optimized by DFT (GGA-PBE) gives the calculated powder XRD pattern in this record (Cu Kα (weighted mean of Kα1 and Kα2)).

Largest 10 diffraction maxima, in order of rising 2θ, 10 to 80 degrees two-theta:
- 30.64 deg, d = 2.918 Å, I 38, (1 1 3)
- 37.15 deg, d = 2.420 Å, I 39, (3 0 0)
- 38.57 deg, d = 2.334 Å, I 34, (0 2 4)
- 43.16 deg, d = 2.096 Å, I 69, (2 2 0)
- 43.52 deg, d = 2.079 Å, I 100, (3 0 3)
- 44.42 deg, d = 2.039 Å, I 19, (2 1 4)
- 44.60 deg, d = 2.032 Å, I 33, (0 0 6)
- 48.89 deg, d = 1.863 Å, I 25, (2 2 3)
- 62.96 deg, d = 1.476 Å, I 18, (1 4 3)
- 63.80 deg, d = 1.459 Å, I 17, (2 2 6)

Crystal structure
Cell: 8.3845 8.3845 12.1909 Å, 90.00 90.00 120.00°
Space group R-3m (No. 166, hexagonal axes)
One atom of each set of equivalent atoms:
Nd (0.0000, 0.0000, 0.1554)
Co (0.0000, 0.0000, 0.4042)
Co (0.0000, 0.2850, 0.5000)
Co (0.0000, 0.5000, 0.0000)
Co (0.0057, 0.5029, 0.3459)

=====

9.
For NdCo2, a structure optimized by DFT (GGA-PBE) gives the calculated powder XRD pattern in this record (Cu Kα (weighted mean of Kα1 and Kα2)).

Largest 9 diffraction maxima, in order of rising 2θ, 10 to 80 degrees two-theta:
- 21.15 deg, d = 4.200 Å, I 10, (1 1 1)
- 34.88 deg, d = 2.572 Å, I 61, (2 2 0)
- 41.15 deg, d = 2.194 Å, I 100, (3 1 1)
- 43.07 deg, d = 2.100 Å, I 16, (2 2 2)
- 55.02 deg, d = 1.669 Å, I 3, (3 3 1)
- 62.55 deg, d = 1.485 Å, I 23, (4 2 2)
- 66.82 deg, d = 1.400 Å, I 30, (5 1 1)
- 73.66 deg, d = 1.286 Å, I 22, (4 4 0)
- 77.65 deg, d = 1.230 Å, I 2, (5 3 1)

Crystal structure
Cell: 7.275 7.275 7.275 Å, 90.00 90.00 90.00°
Space group Fd-3m (No. 227, origin choice 2)
One atom of each set of equivalent atoms:
Nd (0.125, 0.125, 0.125)
Co (0.000, 0.000, 0.500)

=====

10.
For Nd2Co, a structure optimized by DFT (GGA-PBE) gives the calculated powder XRD pattern in this record (Cu Kα (weighted mean of Kα1 and Kα2)).

Largest 10 diffraction maxima, in order of rising 2θ, 10 to 80 degrees two-theta:
- 17.40 deg, d = 5.098 Å, I 47, (1 1 1)
- 33.67 deg, d = 2.662 Å, I 100, (3 1 1)
- 35.21 deg, d = 2.549 Å, I 69, (2 2 2)
- 40.88 deg, d = 2.207 Å, I 21, (4 0 0)
- 44.74 deg, d = 2.026 Å, I 13, (3 3 1)
- 53.96 deg, d = 1.699 Å, I 34, (5 1 1)
- 59.20 deg, d = 1.561 Å, I 34, (4 4 0)
- 62.20 deg, d = 1.492 Å, I 10, (5 3 1)
- 69.86 deg, d = 1.346 Å, I 12, (5 3 3)
- 70.79 deg, d = 1.331 Å, I 27, (6 2 2)

Crystal structure
Cell: 8.829 8.829 8.829 Å, 90.00 90.00 90.00°
Space group Fd-3m (No. 227, origin choice 2)
One atom of each set of equivalent atoms:
Nd (0.000, 0.000, 0.000)
Co (0.125, 0.125, 0.625)

=====

11.
For Nd5Co2, a structure optimized by DFT (GGA-PBE) gives the calculated powder XRD pattern in this record (Cu Kα (weighted mean of Kα1 and Kα2)).

Largest 10 diffraction maxima, in order of rising 2θ, 10 to 80 degrees two-theta:
- 28.76 deg, d = 3.104 Å, I 55, (2 0 2)
- 30.21 deg, d = 2.958 Å, I 64, (0 2 1)
- 30.40 deg, d = 2.940 Å, I 100, (5 1 0)
- 31.50 deg, d = 2.840 Å, I 25, (4 0 -2)
- 31.69 deg, d = 2.824 Å, I 64, (3 1 -2)
- 32.65 deg, d = 2.743 Å, I 40, (2 2 1)
- 34.23 deg, d = 2.620 Å, I 30, (5 1 1)
- 34.65 deg, d = 2.589 Å, I 33, (3 1 2)
- 40.64 deg, d = 2.220 Å, I 25, (1 1 -3)
- 55.78 deg, d = 1.648 Å, I 24, (10 0 0)

Crystal structure
Cell: 16.578 6.519 7.085 Å, 90.00 96.54 90.00°
Space group C2/c (No. 15)
One atom of each set of equivalent atoms:
Nd (0.000, 0.072, 0.250)
Nd (0.094, 0.389, 0.913)
Nd (0.215, 0.070, 0.317)
Co (0.111, 0.210, 0.575)

=====

12.
For NdCo5, a structure optimized by DFT (GGA-PBE) gives the calculated powder XRD pattern in this record (Cu Kα (weighted mean of Kα1 and Kα2)).

Largest 10 diffraction maxima, in order of rising 2θ, 10 to 80 degrees two-theta:
- 30.62 deg, d = 2.919 Å, I 48, (1 0 1)
- 35.79 deg, d = 2.509 Å, I 32, (1 1 0)
- 41.57 deg, d = 2.173 Å, I 36, (2 0 0)
- 42.72 deg, d = 2.116 Å, I 100, (1 1 1)
- 46.05 deg, d = 1.971 Å, I 25, (0 0 2)
- 59.66 deg, d = 1.550 Å, I 14, (1 1 2)
- 61.13 deg, d = 1.516 Å, I 13, (2 1 1)
- 63.76 deg, d = 1.460 Å, I 19, (2 0 2)
- 69.09 deg, d = 1.360 Å, I 22, (3 0 1)
- 75.85 deg, d = 1.254 Å, I 16, (2 2 0)

Crystal structure
Cell: 5.0174 5.0174 3.9417 Å, 90.00 90.00 120.00°
Space group P6/mmm (No. 191)
One atom of each set of equivalent atoms:
Nd (0.0000, 0.0000, 0.0000)
Co (0.0000, 0.5000, 0.5000)
Co (0.3333, 0.6667, 0.0000)

=====

13.
For Nd4Co, a structure optimized by DFT (GGA-PBE) gives the calculated powder XRD pattern in this record (Cu Kα (weighted mean of Kα1 and Kα2)).

Largest 10 diffraction maxima, in order of rising 2θ, 10 to 80 degrees two-theta:
- 28.23 deg, d = 3.161 Å, I 100, (2 2 2)
- 32.71 deg, d = 2.738 Å, I 40, (4 0 0)
- 35.74 deg, d = 2.512 Å, I 8, (3 3 1)
- 42.92 deg, d = 2.107 Å, I 9, (5 1 1)
- 46.94 deg, d = 1.936 Å, I 43, (4 4 0)
- 55.68 deg, d = 1.651 Å, I 40, (6 2 2)
- 58.39 deg, d = 1.581 Å, I 9, (4 4 4)
- 68.56 deg, d = 1.369 Å, I 6, (8 0 0)
- 75.72 deg, d = 1.256 Å, I 14, (6 6 2)
- 78.05 deg, d = 1.224 Å, I 10, (8 4 0)

Crystal structure
Cell: 10.950 10.950 10.950 Å, 90.00 90.00 90.00°
Space group Fd-3m (No. 227, origin choice 2)
One atom of each set of equivalent atoms:
Nd (0.010, 0.010, 0.240)
Co (0.125, 0.125, 0.625)